No. 1
For Ti6Ga3Co, a structure optimized by DFT (GGA-PBE) gives the theoretical powder diffractogram in this record (Cu Kα X-rays).

Atomic structure:
abc: 5.029 7.327 10.133
angles: 90.00 117.79 90.00
Atoms (fractional coordinates):
Ti  0.031  0.161  0.443
Ti  0.031  0.339  0.943
Ti  0.364  0.685  0.439
Ti  0.364  0.815  0.939
Ti  0.416  0.044  0.263
Ti  0.416  0.456  0.763
Ti  0.584  0.544  0.237
Ti  0.584  0.956  0.737
Ti  0.636  0.185  0.061
Ti  0.636  0.315  0.561
Ti  0.969  0.661  0.057
Ti  0.969  0.839  0.557
Ga  0.000  0.000  0.000
Ga  0.000  0.500  0.500
Ga  0.134  0.120  0.756
Ga  0.134  0.380  0.256
Ga  0.866  0.620  0.744
Ga  0.866  0.880  0.244
Co  0.500  0.000  0.500
Co  0.500  0.500  0.000

The 10 most intense peaks (10 to 90 degrees two-theta), most intense first:
| d [Å] | Rel. int. | (hkl) |
| --- | --- | --- |
| 2.197 | 100 | 1 3 -1 |
| 2.316 | 72 | 0 2 3 |
| 2.241 | 50 | 0 0 4 |
| 2.457 | 41 | 1 1 2 |
| 2.392 | 38 | 1 1 -4 |
| 2.280 | 38 | 2 1 -3 |
| 2.448 | 37 | 1 2 -3 |
| 2.493 | 33 | 1 2 1 |
| 2.128 | 29 | 2 1 0 |
| 3.087 | 22 | 1 1 1 |

No. 2
For KPuAg2Te4, a structure optimized by DFT (GGA-PBE) gives the theoretical powder diffractogram in this record (Cu Kα X-rays).

Atomic structure:
abc: 6.555 8.770 8.862
angles: 90.00 90.00 90.00
Atoms (fractional coordinates):
K  0.000  0.000  0.000
K  0.500  0.500  0.500
Pu  0.000  0.000  0.500
Pu  0.500  0.500  0.000
Ag  0.000  0.500  0.163
Ag  0.000  0.500  0.837
Ag  0.500  0.000  0.337
Ag  0.500  0.000  0.663
Te  0.209  0.236  0.281
Te  0.209  0.764  0.719
Te  0.291  0.264  0.781
Te  0.291  0.736  0.219
Te  0.709  0.264  0.219
Te  0.709  0.736  0.781
Te  0.791  0.236  0.719
Te  0.791  0.764  0.281

The 10 most intense peaks (10 to 90 degrees two-theta), most intense first:
| d [Å] | Rel. int. | (hkl) |
| --- | --- | --- |
| 2.625 | 100 | 2 2 0 |
| 6.233 | 95 | 0 1 1 |
| 3.386 | 77 | 1 1 2 |
| 3.117 | 72 | 0 2 2 |
| 2.901 | 45 | 2 1 1 |
| 2.295 | 39 | 1 2 3 |
| 2.635 | 38 | 2 0 2 |
| 2.192 | 32 | 0 4 0 |
| 2.041 | 32 | 1 1 4 |
| 2.287 | 31 | 1 3 2 |